Diffraction record for SmYO3. The powder diffractogram is computed, not measured: it uses a structure optimized by DFT (PBE) and copper Kα.

Principal peaks in the range 2θ = 10–80°, by angle:
2θ/deg, I (rel.), (hkl)
29.7, 24, 2 0 0
29.9, 100, 1 1 2
30.4, 24, 0 2 0
42.5, 12, 0 0 4
43.1, 21, 2 2 0
52.8, 12, 2 0 4
52.9, 18, 3 1 2
53.2, 12, 0 2 4
53.8, 25, 1 3 2
62.1, 11, 2 2 4

Atomic structure:
a = 6.0101 Å, b = 5.8736 Å, c = 8.4990 Å
α = 90.00°, β = 90.00°, γ = 90.00°
Fractional positions:
Sm (0.0362, 0.0054, 0.0000)
Sm (0.4638, 0.5054, 0.5000)
Sm (0.5362, 0.4946, 0.0000)
Sm (0.9638, 0.9946, 0.5000)
Y (0.0190, 0.5008, 0.2673)
Y (0.4810, 0.0008, 0.7673)
Y (0.5190, 0.9992, 0.2673)
Y (0.9810, 0.4992, 0.7673)
O (0.0833, 0.3664, 0.5260)
O (0.1267, 0.8486, 0.7271)
O (0.2340, 0.7935, 0.3669)
O (0.2660, 0.2935, 0.8669)
O (0.3733, 0.3486, 0.2271)
O (0.4167, 0.8664, 0.0260)
O (0.5833, 0.1336, 0.5260)
O (0.6267, 0.6514, 0.7271)
O (0.7340, 0.7065, 0.3669)
O (0.7660, 0.2065, 0.8669)
O (0.8733, 0.1514, 0.2271)
O (0.9167, 0.6336, 0.0260)